No. 1
The following is a theoretical powder X-ray diffraction pattern of K3Sc3SnTe8. It was derived from a structure optimized by DFT (PBE), using Cu Kα X-rays.
Neutral-atom scattering factors, no anomalous dispersion.

Crystal structure
Unit cell a=8.509 b=8.509 c=9.735 alpha=116.06 beta=116.06 gamma=59.82
Fractional positions:
K1 0.000 0.000 0.000
K2 0.000 0.500 0.000
K3 0.500 0.000 0.000
Sc1 0.000 0.500 0.500
Sc2 0.500 0.000 0.500
Sc3 0.500 0.500 0.500
Sn1 0.000 0.000 0.500
Te1 0.238 0.723 0.700
Te2 0.239 0.239 0.700
Te3 0.267 0.267 0.301
Te4 0.277 0.762 0.300
Te5 0.723 0.238 0.700
Te6 0.733 0.733 0.699
Te7 0.761 0.761 0.300
Te8 0.762 0.277 0.300

Top 10 peaks for 2θ from 5° to 70°, by angle:
2θ/deg	I_rel
10.54	383
25.21	270
28.08	1000
34.88	219
37.53	98
37.64	196
42.50	240
42.62	119
46.77	108
51.81	119



No. 2
The following is a theoretical powder X-ray diffraction pattern of K3Na2MgF9. It was derived from a structure optimized by DFT (PBE), using Cu Kα X-rays.
Neutral-atom scattering factors, no anomalous dispersion.

Crystal structure
Unit cell a=5.974 b=5.974 c=7.655 alpha=90.00 beta=90.00 gamma=120.00
Fractional positions:
K1 0.000 0.000 0.000
K2 0.333 0.667 0.676
K3 0.667 0.333 0.324
Na1 0.333 0.667 0.187
Na2 0.667 0.333 0.813
Mg1 0.000 0.000 0.500
F1 0.000 0.500 0.000
F2 0.156 0.311 0.350
F3 0.156 0.844 0.350
F4 0.311 0.156 0.650
F5 0.500 0.000 0.000
F6 0.500 0.500 0.000
F7 0.689 0.844 0.350
F8 0.844 0.156 0.650
F9 0.844 0.689 0.650

Top 10 peaks for 2θ from 5° to 70°, by angle:
2θ/deg	I_rel
29.02	435
29.92	398
35.17	216
36.67	569
42.17	1000
50.87	83
52.56	151
53.11	69
60.15	267
62.16	256



No. 3
The following is a theoretical powder X-ray diffraction pattern of Ce5MgRu5. It was derived from a structure optimized by DFT (PBE), using Cu Kα X-rays.
Neutral-atom scattering factors, no anomalous dispersion.

Crystal structure
Unit cell a=6.459 b=6.459 c=8.511 alpha=108.94 beta=108.94 gamma=48.33
Fractional positions:
Ce1 0.000 0.000 0.000
Ce2 0.325 0.325 0.169
Ce3 0.325 0.325 0.654
Ce4 0.675 0.675 0.346
Ce5 0.675 0.675 0.831
Mg1 0.000 0.000 0.500
Ru1 0.130 0.130 0.308
Ru2 0.140 0.140 0.826
Ru3 0.500 0.500 0.500
Ru4 0.860 0.860 0.174
Ru5 0.870 0.870 0.692

Top 10 peaks for 2θ from 5° to 70°, by angle:
2θ/deg	I_rel
20.19	297
22.40	252
32.11	999
32.30	999
33.90	1000
42.49	519
47.39	668
47.52	673
55.43	472
61.49	232



No. 4
The following is a theoretical powder X-ray diffraction pattern of Li2PrHoAu4. It was derived from a structure optimized by DFT (PBE), using Cu Kα X-rays.
Neutral-atom scattering factors, no anomalous dispersion.

Crystal structure
Unit cell a=9.568 b=9.568 c=9.568 alpha=27.90 beta=27.90 gamma=27.90
Fractional positions:
Li1 0.245 0.245 0.245
Li2 0.755 0.755 0.755
Pr1 0.000 0.000 0.000
Ho1 0.500 0.500 0.500
Au1 0.115 0.115 0.115
Au2 0.393 0.393 0.393
Au3 0.607 0.607 0.607
Au4 0.885 0.885 0.885

Top 10 peaks for 2θ from 5° to 70°, by angle:
2θ/deg	I_rel
23.18	584
25.77	423
34.36	940
39.04	1000
39.72	613
45.90	97
52.98	278
56.92	216
61.79	89
67.74	267



No. 5
The following is a theoretical powder X-ray diffraction pattern of Zr3CoCu2. It was derived from a structure optimized by DFT (PBE), using Cu Kα X-rays.
Neutral-atom scattering factors, no anomalous dispersion.

Crystal structure
Unit cell a=7.286 b=7.286 c=3.214 alpha=90.00 beta=90.00 gamma=143.06
Fractional positions:
Zr1 0.000 0.000 0.000
Zr2 0.344 0.656 0.000
Zr3 0.656 0.344 0.000
Co1 0.500 0.500 0.500
Cu1 0.180 0.820 0.500
Cu2 0.820 0.180 0.500

Top 10 peaks for 2θ from 5° to 70°, by angle:
2θ/deg	I_rel
27.35	38
27.75	18
37.94	30
39.06	494
39.36	1000
48.59	16
50.25	20
56.43	149
57.33	82
60.87	16